Starting from a GGA-PBE-relaxed structure, the powder XRD pattern of Pu2Ga3Ni was computed for a wavelength of 1.5418 Å.

```
data_Pu2Ga3Ni
_chemical_formula_sum 'Pu2 Ga3 Ni1'
_symmetry_space_group_name_H-M 'P 1'
_symmetry_Int_Tables_number 1
_symmetry_space_group_name_Hall 'P 1'
_cell_length_a 3.3454
_cell_length_b 4.4809
_cell_length_c 7.7505
_cell_angle_alpha 90.00
_cell_angle_beta 90.00
_cell_angle_gamma 90.00
loop_
_atom_site_label
_atom_site_fract_x
_atom_site_fract_y
_atom_site_fract_z
Pu1 0.0000 0.0000 0.0000
Pu2 0.0000 0.5000 0.4722
Ga1 0.5000 0.0000 0.6399
Ga2 0.5000 0.5000 0.1559
Ga3 0.5000 0.5000 0.8172
Ni1 0.5000 0.0000 0.3119
```

Top 10 peaks for 2θ = 10–80°, sorted by position:
- hkl 0 1 1, 22.93 deg, I = 41
- hkl 1 1 1, 35.44 deg, I = 100
- hkl 0 2 0, 40.28 deg, I = 53
- hkl 0 2 2, 46.85 deg, I = 6
- hkl 1 2 2, 54.72 deg, I = 28
- hkl 2 0 0, 54.89 deg, I = 7
- hkl 2 1 1, 60.26 deg, I = 7
- hkl 1 3 1, 70.09 deg, I = 26
- hkl 2 2 0, 70.24 deg, I = 20
- hkl 0 3 3, 73.22 deg, I = 8